Record 1
Bi4Rh2Au: theoretical PXRD pattern (Cu Kα (λ = 1.5418 Å)), based on a DFT-relaxed cell (PBE, Alexandria).
Peak positions follow from Bragg's law for the DFT cell and can differ from measured ones.

The 8 most intense peaks (2θ from 10° to 90°), sorted by position:
d = 3.165 Å, I 42
d = 3.085 Å, I 74
d = 2.911 Å, I 100
d = 2.791 Å, I 45
d = 2.418 Å, I 38
d = 2.347 Å, I 69
d = 2.336 Å, I 37
d = 2.168 Å, I 53

Atomic structure:
abc: 7.715 7.715 7.715
angles: 111.63 106.22 110.62
Fractional positions:
1 Bi 0.209 0.056 0.265
2 Bi 0.209 0.444 0.653
3 Bi 0.334 0.099 0.735
4 Bi 0.363 0.599 0.265
5 Bi 0.615 0.968 0.147
6 Bi 0.791 0.556 0.347
7 Bi 0.791 0.944 0.735
8 Bi 0.821 0.468 0.853
9 Rh 0.544 0.488 0.556
10 Rh 0.555 0.055 0.500
11 Rh 0.555 0.555 0.000
12 Rh 0.931 0.988 0.444
13 Au 0.132 0.796 0.836
14 Au 0.960 0.296 0.164

=====

Record 2
LiIr2N3: theoretical PXRD pattern (Cu Kα (λ = 1.5418 Å)), based on a DFT-relaxed cell (PBE, Alexandria).
Peak positions follow from Bragg's law for the DFT cell and can differ from measured ones.

The 8 most intense peaks (2θ from 10° to 90°), sorted by position:
d = 5.038 Å, I 94
d = 3.559 Å, I 100
d = 2.858 Å, I 53
d = 2.535 Å, I 84
d = 2.514 Å, I 45
d = 2.485 Å, I 60
d = 2.454 Å, I 32
d = 1.763 Å, I 60

Atomic structure:
abc: 5.718 5.718 5.029
angles: 90.00 90.00 61.77
Fractional positions:
1 Li 0.170 0.830 0.500
2 Li 0.830 0.170 0.000
3 Ir 0.233 0.491 0.025
4 Ir 0.491 0.233 0.525
5 Ir 0.509 0.767 0.025
6 Ir 0.767 0.509 0.525
7 N 0.129 0.457 0.379
8 N 0.162 0.838 0.904
9 N 0.457 0.129 0.879
10 N 0.543 0.871 0.379
11 N 0.838 0.162 0.404
12 N 0.871 0.543 0.879